Computed PXRD pattern of La6ZnHg2 for λ = 1.5418 Å (Cu Kα), from DFT lattice parameters and positions (PBE).
Peak positions follow from Bragg's law for the DFT cell and can differ from measured ones.

The 8 most intense peaks (2θ = 5–70°), low angle first:
29.83°, I 58, (2 1 0); 30.20°, I 100, (1 1 1); 32.29°, I 72, (2 0 1); 33.94°, I 63, (3 0 0); 37.95°, I 32, (2 1 1); 55.85°, I 38, (3 2 1); 56.52°, I 19, (2 1 2); 59.08°, I 25, (3 0 2)

Crystal structure
Lattice parameters (Å, degrees): 9.150 9.150 3.880 90.00 90.00 120.00
Positions (direct):
La (0.000, 0.262, 0.000)
La (0.000, 0.599, 0.500)
La (0.262, 0.000, 0.000)
La (0.401, 0.401, 0.500)
La (0.599, 0.000, 0.500)
La (0.738, 0.738, 0.000)
Zn (0.000, 0.000, 0.500)
Hg (0.333, 0.667, 0.000)
Hg (0.667, 0.333, 0.000)